[1]
This entry pairs a crystal structure of Cs2LiCrC6N6 with its theoretical X-ray diffraction stick pattern. Radiation: Cu Kα (λ = 1.5418 Å). Structure: a crystal structure in Alexandria, relaxed with GGA-PBE.
Intensities are scaled so that the largest is 100.

Atomic structure:
a b c (Å): 10.879 10.879 10.879
angles (deg): 90.00 90.00 90.00
Space group Fm-3m (No. 225)
Symmetry-distinct sites (fractional):
Cs 0.250 0.250 0.250
Li 0.000 0.000 0.000
Cr 0.000 0.000 0.500
C 0.000 0.000 0.313
N 0.000 0.000 0.205

Most intense lines, 10° ≤ 2θ ≤ 80°, most intense first:
2θ 23.12, rel. 100, (2 2 0)
2θ 28.42, rel. 49, (2 2 2)
2θ 32.93, rel. 44, (4 0 0)
2θ 40.63, rel. 35, (4 2 2)
2θ 53.25, rel. 28, (6 2 0)
2θ 64.05, rel. 26, (6 4 2)
2θ 47.26, rel. 25, (4 4 0)
2θ 36.95, rel. 22, (4 2 0)
2θ 16.30, rel. 22, (2 0 0)
2θ 50.32, rel. 14, (4 4 2)

***

[2]
This entry pairs a crystal structure of CsMnCrC6N6 with its theoretical X-ray diffraction stick pattern. Radiation: Cu Kα (λ = 1.5418 Å). Structure: a crystal structure in Alexandria, relaxed with GGA-PBE.
Intensities are scaled so that the largest is 100.

Atomic structure:
a b c (Å): 10.837 10.837 10.837
angles (deg): 90.00 90.00 90.00
Space group F-43m (No. 216)
Symmetry-distinct sites (fractional):
Cs 0.000 0.000 0.000
Mn 0.250 0.250 0.750
Cr 0.250 0.250 0.250
C 0.062 0.250 0.250
N 0.047 0.250 0.750

Most intense lines, 10° ≤ 2θ ≤ 80°, most intense first:
2θ 23.21, rel. 100, (2 2 0)
2θ 14.15, rel. 79, (1 1 1)
2θ 33.06, rel. 55, (4 0 0)
2θ 27.29, rel. 50, (3 1 1)
2θ 40.79, rel. 32, (4 2 2)
2θ 53.47, rel. 30, (6 2 0)
2θ 47.46, rel. 29, (4 4 0)
2θ 64.33, rel. 26, (6 4 2)
2θ 36.13, rel. 24, (3 3 1)
2θ 49.78, rel. 19, (5 3 1)

***

[3]
This entry pairs a crystal structure of DyCrC with its theoretical X-ray diffraction stick pattern. Radiation: Cu Kα (λ = 1.5418 Å). Structure: a crystal structure in Alexandria, relaxed with GGA-PBE.
Intensities are scaled so that the largest is 100.

Atomic structure:
a b c (Å): 6.347 5.003 5.604
angles (deg): 90.00 90.00 90.00
Space group Pca2_1 (No. 29)
Symmetry-distinct sites (fractional):
Dy 0.113 0.020 0.000
Cr 0.134 0.504 0.673
C 0.121 0.345 0.343

Most intense lines, 10° ≤ 2θ ≤ 80°, most intense first:
2θ 37.19, rel. 100, (2 1 1)
2θ 36.77, rel. 55, (0 1 2)
2θ 17.73, rel. 40, (0 1 0)
2θ 32.42, rel. 35, (2 0 1)
2θ 35.90, rel. 32, (0 2 0)
2θ 49.15, rel. 25, (2 2 1)
2θ 57.23, rel. 19, (2 0 3)
2θ 69.43, rel. 18, (2 2 3)
2θ 31.94, rel. 17, (0 0 2)
2θ 65.38, rel. 16, (2 3 1)